No. 1
# K4H4PtC6S2N2O12
Simulated powder X-ray diffraction pattern, Cu Ka. Input: a structure optimized by DFT (PBE).

Crystal structure
```
data_K4H4PtC6S2N2O12
_chemical_formula_sum 'K4 H4 Pt1 C6 S2 N2 O12'
_cell_length_a 6.724
_cell_length_b 7.154
_cell_length_c 11.221
_cell_angle_alpha 101.09
_cell_angle_beta 90.18
_cell_angle_gamma 108.66
_symmetry_space_group_name_H-M 'P -1'
_symmetry_Int_Tables_number 2
_symmetry_space_group_name_Hall '-P 1'
loop_
_atom_site_label
_atom_site_fract_x
_atom_site_fract_y
_atom_site_fract_z
K1 0.050 0.098 0.192
K2 0.094 0.756 0.449
H1 0.347 0.283 0.466
H2 0.354 0.457 0.401
Pt1 0.500 0.000 0.000
C1 0.302 0.644 0.772
C2 0.391 0.165 0.656
C3 0.488 0.867 0.233
S1 0.443 0.671 0.900
N1 0.198 0.621 0.682
O1 0.033 0.269 0.984
O2 0.193 0.092 0.646
O3 0.263 0.321 0.408
O4 0.299 0.846 0.234
O5 0.387 0.076 0.853
O6 0.493 0.743 0.418
```

The 10 most intense peaks (2θ from 15° to 90°), in order of falling intensity:
h k l  d [Å]  I (rel.)
1 0 -1  5.674  100
0 1 1  5.226  78
1 1 -3  2.952  78
2 0 0  3.175  58
0 2 1  3.011  55
1 0 1  5.342  53
0 1 -2  4.732  49
2 0 -1  3.110  48
-2 1 1  3.152  46
1 -1 2  4.155  44

---

No. 2
# K3HRhC5N5O
Simulated powder X-ray diffraction pattern, Cu Ka. Input: a structure optimized by DFT (PBE).

Crystal structure
```
data_K3HRhC5N5O
_chemical_formula_sum 'K6 H2 Rh2 C10 N10 O2'
_cell_length_a 7.665
_cell_length_b 8.715
_cell_length_c 9.033
_cell_angle_alpha 89.64
_cell_angle_beta 80.36
_cell_angle_gamma 78.81
_symmetry_space_group_name_H-M 'P -1'
_symmetry_Int_Tables_number 2
_symmetry_space_group_name_Hall '-P 1'
loop_
_atom_site_label
_atom_site_fract_x
_atom_site_fract_y
_atom_site_fract_z
K1 0.124 0.191 0.312
K2 0.306 0.411 0.825
K3 0.339 0.870 0.827
H1 0.005 0.570 0.307
Rh1 0.138 0.691 0.264
C1 0.062 0.712 0.063
C2 0.208 0.654 0.471
C3 0.227 0.147 0.601
C4 0.304 0.505 0.193
C5 0.320 0.840 0.209
N1 0.022 0.722 0.942
N2 0.094 0.100 0.662
N3 0.251 0.628 0.589
N4 0.402 0.388 0.145
N5 0.430 0.917 0.173
O1 0.358 0.191 0.535
```

The 10 most intense peaks (2θ from 15° to 90°), in order of falling intensity:
h k l  d [Å]  I (rel.)
0 0 2  4.451  100
-1 2 1  3.093  92
2 2 0  3.119  83
1 0 3  2.932  82
2 0 -1  3.232  59
2 -2 2  2.360  58
2 2 -1  2.836  57
1 2 0  4.062  57
0 2 -1  3.894  49
0 2 0  4.273  46

---

What did the second record say?
# K3HRhC5N5O
Simulated powder X-ray diffraction pattern, Cu Ka. Input: a structure optimized by DFT (PBE).

Crystal structure
```
data_K3HRhC5N5O
_chemical_formula_sum 'K6 H2 Rh2 C10 N10 O2'
_cell_length_a 7.665
_cell_length_b 8.715
_cell_length_c 9.033
_cell_angle_alpha 89.64
_cell_angle_beta 80.36
_cell_angle_gamma 78.81
_symmetry_space_group_name_H-M 'P -1'
_symmetry_Int_Tables_number 2
_symmetry_space_group_name_Hall '-P 1'
loop_
_atom_site_label
_atom_site_fract_x
_atom_site_fract_y
_atom_site_fract_z
K1 0.124 0.191 0.312
K2 0.306 0.411 0.825
K3 0.339 0.870 0.827
H1 0.005 0.570 0.307
Rh1 0.138 0.691 0.264
C1 0.062 0.712 0.063
C2 0.208 0.654 0.471
C3 0.227 0.147 0.601
C4 0.304 0.505 0.193
C5 0.320 0.840 0.209
N1 0.022 0.722 0.942
N2 0.094 0.100 0.662
N3 0.251 0.628 0.589
N4 0.402 0.388 0.145
N5 0.430 0.917 0.173
O1 0.358 0.191 0.535
```

The 10 most intense peaks (2θ from 15° to 90°), in order of falling intensity:
h k l  d [Å]  I (rel.)
0 0 2  4.451  100
-1 2 1  3.093  92
2 2 0  3.119  83
1 0 3  2.932  82
2 0 -1  3.232  59
2 -2 2  2.360  58
2 2 -1  2.836  57
1 2 0  4.062  57
0 2 -1  3.894  49
0 2 0  4.273  46

---

Please write out number 1 again, unchanged.
# K4H4PtC6S2N2O12
Simulated powder X-ray diffraction pattern, Cu Ka. Input: a structure optimized by DFT (PBE).

Crystal structure
```
data_K4H4PtC6S2N2O12
_chemical_formula_sum 'K4 H4 Pt1 C6 S2 N2 O12'
_cell_length_a 6.724
_cell_length_b 7.154
_cell_length_c 11.221
_cell_angle_alpha 101.09
_cell_angle_beta 90.18
_cell_angle_gamma 108.66
_symmetry_space_group_name_H-M 'P -1'
_symmetry_Int_Tables_number 2
_symmetry_space_group_name_Hall '-P 1'
loop_
_atom_site_label
_atom_site_fract_x
_atom_site_fract_y
_atom_site_fract_z
K1 0.050 0.098 0.192
K2 0.094 0.756 0.449
H1 0.347 0.283 0.466
H2 0.354 0.457 0.401
Pt1 0.500 0.000 0.000
C1 0.302 0.644 0.772
C2 0.391 0.165 0.656
C3 0.488 0.867 0.233
S1 0.443 0.671 0.900
N1 0.198 0.621 0.682
O1 0.033 0.269 0.984
O2 0.193 0.092 0.646
O3 0.263 0.321 0.408
O4 0.299 0.846 0.234
O5 0.387 0.076 0.853
O6 0.493 0.743 0.418
```

The 10 most intense peaks (2θ from 15° to 90°), in order of falling intensity:
h k l  d [Å]  I (rel.)
1 0 -1  5.674  100
0 1 1  5.226  78
1 1 -3  2.952  78
2 0 0  3.175  58
0 2 1  3.011  55
1 0 1  5.342  53
0 1 -2  4.732  49
2 0 -1  3.110  48
-2 1 1  3.152  46
1 -1 2  4.155  44